1.
Starting from a PBE-relaxed structure, the powder diffractogram of Tc2NiSb8 was simulated for Cu Kα (λ = 1.5418 Å).

Largest 10 diffraction maxima, by angle, 10° ≤ 2θ ≤ 90°:
2theta	Rel. int.
21.72	24
25.13	52
30.74	100
35.24	27
37.96	18
43.77	47
44.28	59
54.87	15
57.81	33
64.02	13

```
data_Tc2NiSb8
_symmetry_space_group_name_H-M 'P -3 m 1'
_symmetry_Int_Tables_number 164
_symmetry_space_group_name_Hall '-P 3 2"'
_cell_length_a 8.1822
_cell_length_b 8.1822
_cell_length_c 5.0937
_cell_angle_alpha 90.00
_cell_angle_beta 90.00
_cell_angle_gamma 120.00
loop_
_atom_site_label
_atom_site_fract_x
_atom_site_fract_y
_atom_site_fract_z
_atom_site_occupancy
Tc1 0.3333 0.6667 0.2833 1
Ni1 0.0000 0.0000 0.5000 1
Sb1 0.1514 0.3028 0.2091 1
Sb2 0.3333 0.6667 0.7722 1
```

***

2.
Starting from a PBE-relaxed structure, the powder diffractogram of NiSbTe2 was simulated for Cu Kα (λ = 1.5418 Å).

Largest 10 diffraction maxima, by angle, 10° ≤ 2θ ≤ 90°:
2theta	Rel. int.
12.11	51
27.05	50
29.10	89
33.79	100
34.53	32
36.89	28
38.13	38
44.55	27
45.76	46
49.36	33

```
data_NiSbTe2
_symmetry_space_group_name_H-M 'P 1 m 1'
_symmetry_Int_Tables_number 6
_symmetry_space_group_name_Hall 'P -2y'
_cell_length_a 3.9505
_cell_length_b 3.6927
_cell_length_c 7.5681
_cell_angle_alpha 90.00
_cell_angle_beta 105.04
_cell_angle_gamma 90.00
loop_
_atom_site_label
_atom_site_fract_x
_atom_site_fract_y
_atom_site_fract_z
_atom_site_occupancy
Ni1 0.0000 0.0000 0.0000 1
Sb1 0.4583 0.5000 0.9175 1
Te1 0.1189 0.5000 0.2422 1
Te2 0.8256 0.0000 0.6538 1
```